Diffraction record for La2Nb3S2O8. The powder diffractogram is computed, not measured: it uses the PBE geometry in the Materials Project and Cu Kα (weighted mean of Kα1 and Kα2).
Kinematic intensities with the Lorentz-polarization factor, no thermal factor.

Principal peaks in the range 5° ≤ 2θ ≤ 70°, in order of rising 2θ:
2theta, I_rel
27.50, 38
27.79, 57
28.94, 100
30.71, 34
31.22, 28
47.10, 43

Crystal structure
a = 9.9977 Å, b = 11.9625 Å, c = 7.7201 Å
α = 90.00°, β = 90.00°, γ = 90.00°
Space group Pnnm (No. 58)
Asymmetric unit:
La 0.2075 0.1599 0.0000
La 0.2313 0.1505 0.5000
Nb 0.0000 0.5000 0.2872
Nb 0.1352 0.9149 0.2502
S 0.0170 0.3464 0.5000
S 0.0195 0.3655 0.0000
O 0.0563 0.1052 0.2556
O 0.1332 0.9487 0.0000
O 0.1486 0.9499 0.5000
O 0.1978 0.5250 0.2634
O 0.2137 0.7741 0.2485